Entry 1:
For Ac2Tl2H, a GGA-PBE-relaxed structure gives the calculated powder X-ray diffraction pattern in this record (Cu Kα (weighted mean of Kα1 and Kα2)).

Top 10 peaks for 5 to 70 degrees two-theta, sorted by position:
d_spacing, Position (°2θ), I_rel
4.843, 18.32, 26
3.369, 26.45, 74
3.242, 27.51, 39
2.924, 30.57, 100
2.824, 31.69, 49
2.750, 32.56, 39
2.581, 34.76, 91
2.514, 35.71, 55
1.987, 45.67, 26
1.856, 49.09, 25

Cell and atoms:
```
10
Lattice="2.5145 -8.9859 0.0000 2.5145 8.9859 0.0000 0.0000 0.0000 6.9521" Properties=species:S:1:pos:R:3 pbc="T T T"
Ac 2.5145 7.5193 3.4761
Ac 2.5145 2.9523 2.8034
Ac 2.5145 -2.9523 6.2795
Ac 2.5145 -7.5193 0.0000
Tl 2.5145 3.6009 6.1473
Tl 2.5145 0.3059 4.9889
Tl 2.5145 -0.3059 1.5129
Tl 2.5145 -3.6009 2.6712
H 2.5145 6.5851 5.7704
H 2.5145 -6.5851 2.2944
```

***

Entry 2:
For TbPr5Tl, a GGA-PBE-relaxed structure gives the calculated powder X-ray diffraction pattern in this record (Cu Kα (weighted mean of Kα1 and Kα2)).

Top 10 peaks for 5 to 70 degrees two-theta, sorted by position:
d_spacing, Position (°2θ), I_rel
5.730, 15.46, 12
3.575, 24.91, 8
2.865, 31.22, 55
2.771, 32.31, 100
2.026, 44.73, 21
1.899, 47.91, 10
1.635, 56.25, 42
1.583, 58.30, 20
1.433, 65.11, 7
1.385, 67.62, 12

Cell and atoms:
```
7
Lattice="5.7303 0.0000 0.0000 0.0000 5.7303 0.0000 0.0000 0.0000 7.5959" Properties=species:S:1:pos:R:3 pbc="T T T"
Tb 0.0000 0.0000 0.0000
Pr 0.0000 2.8652 1.8315
Pr 0.0000 2.8652 5.7643
Pr 2.8652 0.0000 1.8315
Pr 2.8652 0.0000 5.7643
Pr 2.8652 2.8652 3.7979
Tl 0.0000 0.0000 3.7979
```

***

Entry 3:
For Ac5Hg2PtO, a GGA-PBE-relaxed structure gives the calculated powder X-ray diffraction pattern in this record (Cu Kα (weighted mean of Kα1 and Kα2)).

Top 10 peaks for 5 to 70 degrees two-theta, sorted by position:
d_spacing, Position (°2θ), I_rel
3.440, 25.90, 15
3.230, 27.62, 25
3.214, 27.75, 39
3.167, 28.18, 100
2.920, 30.62, 15
2.704, 33.12, 36
2.163, 41.76, 34
1.976, 45.94, 17
1.826, 49.94, 11
1.794, 50.90, 17

Cell and atoms:
```
18
Lattice="2.1620 -9.8945 0.0000 2.1620 9.8945 0.0000 0.0000 0.0000 14.3586" Properties=species:S:1:pos:R:3 pbc="T T T"
Ac 2.1620 9.8043 7.1793
Ac 2.1620 6.9458 10.5555
Ac 2.1620 6.2927 1.4287
Ac 2.1620 5.8257 5.6056
Ac 2.1620 0.7879 10.4748
Ac 2.1620 -0.7879 3.2955
Ac 2.1620 -5.8257 12.7848
Ac 2.1620 -6.2927 8.6080
Ac 2.1620 -6.9458 3.3762
Ac 2.1620 -9.8043 0.0000
Hg 2.1620 2.5936 0.7617
Hg 2.1620 2.2722 5.9959
Hg 2.1620 -2.2722 13.1752
Hg 2.1620 -2.5936 7.9410
Pt 2.1620 3.9339 10.6906
Pt 2.1620 -3.9339 3.5113
O 2.1620 8.9027 2.1603
O 2.1620 -8.9027 9.3396
```